Starting from a crystal structure in Alexandria, relaxed with GGA-PBE, the powder diffractogram of ErMg3Al8 was calculated for Cu Kα (λ = 1.5418 Å).
Lines closer than 0.1° are merged.

Top 12 peaks for 2θ from 10° to 80°, in order of rising 2θ:
- 10.12°, I 87
- 18.66°, I 59
- 21.27°, I 97
- 27.72°, I 57
- 32.61°, I 55
- 34.23°, I 31
- 36.15°, I 96
- 38.73°, I 100
- 39.26°, I 75
- 60.52°, I 40
- 62.30°, I 25
- 66.36°, I 27

Crystal structure
a = 5.4916 Å, b = 5.4916 Å, c = 8.7428 Å
α = 90.00°, β = 90.00°, γ = 120.00°
Fractional positions:
Er (0.0000, 0.0000, 0.0000)
Mg (0.0000, 0.0000, 0.3744)
Mg (0.6667, 0.3333, 0.4989)
Mg (0.6667, 0.3333, 0.8661)
Al (0.1624, 0.3248, 0.6847)
Al (0.1624, 0.8376, 0.6847)
Al (0.3333, 0.6667, 0.4396)
Al (0.3333, 0.6667, 0.9352)
Al (0.5040, 0.0079, 0.1840)
Al (0.5040, 0.4960, 0.1840)
Al (0.6752, 0.8376, 0.6847)
Al (0.9921, 0.4960, 0.1840)